Starting from DFT lattice parameters and positions (PBE), the X-ray powder pattern of CoAsS was computed for CuKα.

Largest 10 diffraction maxima, low angle first, 2θ = 10–90°:
2θ/deg, I_rel
22.52, 15
32.06, 45
35.96, 100
39.53, 65
45.97, 26
54.50, 80
57.14, 14
59.71, 23
62.20, 33
78.49, 18

Structure:
a = 5.5841 Å, b = 5.5841 Å, c = 5.5841 Å
α = 90.00°, β = 90.00°, γ = 90.00°
Space group P2_13 (No. 198)
Symmetry-distinct sites (fractional):
Co1 0.0080 0.0080 0.0080 (multiplicity 4)
As1 0.1214 0.6214 0.8786 (multiplicity 4)
S1 0.1191 0.8809 0.3809 (multiplicity 4)